Simulated PXRD pattern
Compound: Sr3NbCoO7
Radiation: CuKα
Structure: a cell relaxed with PBE+U

Cell and atoms:
```
data_Sr3NbCoO7
_symmetry_space_group_name_H-M 'P m n 21'
_symmetry_Int_Tables_number 31
_symmetry_space_group_name_Hall 'P 2ac -2'
_cell_length_a 4.001
_cell_length_b 3.971
_cell_length_c 21.389
_cell_angle_alpha 90.00
_cell_angle_beta 90.00
_cell_angle_gamma 90.00
loop_
_atom_site_label
_atom_site_fract_x
_atom_site_fract_y
_atom_site_fract_z
_atom_site_occupancy
Sr1 0.000 0.238 0.000 1
Sr2 0.000 0.243 0.162 1
Sr3 0.000 0.246 0.790 1
Nb1 0.000 0.254 0.382 1
Co1 0.000 0.271 0.589 1
O1 0.000 0.232 0.678 1
O2 0.000 0.250 0.471 1
O3 0.000 0.253 0.283 1
O4 0.000 0.748 0.077 1
O5 0.000 0.748 0.577 1
O6 0.000 0.748 0.876 1
O7 0.000 0.753 0.376 1
```

Most intense lines, 5° ≤ 2θ ≤ 70°, by intensity:
d_spacing, two_theta, I_rel, hkl
2.819, 31.75, 100, 1 1 0
2.922, 30.60, 78, 1 0 5
2.910, 30.72, 77, 0 1 5
2.000, 45.34, 31, 2 0 0
1.986, 45.69, 30, 0 2 0
1.649, 55.76, 29, 2 1 5
1.642, 55.99, 28, 1 2 5
1.704, 53.80, 22, 1 1 10
2.139, 42.25, 22, 0 0 10
2.041, 44.38, 18, 1 0 9
1.409, 66.33, 18, 2 2 0
2.211, 40.81, 15, 1 1 6